Computed powder X-ray diffraction pattern
Compound: Li4Cr3NiP4O16
Radiation: Cu Kα, 1.54184 Å
Structure: a structure optimized by DFT (GGA+U)
No peak broadening, texture or thermal motion is included.

Cell and atoms:
```
Li4Cr3NiP4O16
1.0
4.7660 0.0000 0.0000
0.0000 6.2600 0.0000
-0.0784 0.0000 10.2115
Li Cr Ni P O
4 3 1 4 16
Direct
0.0000 0.2467 0.0000 Li
0.0000 0.7533 0.0000 Li
0.5105 0.2495 0.5028 Li
0.5105 0.7505 0.5028 Li
0.0557 0.5000 0.7205 Cr
0.4528 0.5000 0.2155 Cr
0.9553 0.0000 0.2849 Cr
0.5290 0.0000 0.7803 Ni
0.0928 0.0000 0.5981 P
0.4172 0.0000 0.0917 P
0.5889 0.5000 0.9070 P
0.9216 0.5000 0.4085 P
0.2005 0.0000 0.4543 O
0.2358 0.1956 0.6674 O
0.2358 0.8044 0.6674 O
0.2461 0.5000 0.4008 O
0.2639 0.5000 0.9017 O
0.2844 0.1981 0.1601 O
0.2844 0.8019 0.1601 O
0.3029 0.0000 0.9483 O
0.7022 0.5000 0.0510 O
0.7186 0.2978 0.8402 O
0.7186 0.7022 0.8402 O
0.7420 0.0000 0.1008 O
0.7699 0.0000 0.6055 O
0.7860 0.3011 0.3421 O
0.7860 0.6989 0.3421 O
0.8148 0.5000 0.5528 O
```

Top 10 peaks for 2θ from 5° to 70°, in order of rising 2θ:
(hkl)  2theta  intensity
0 0 2  17.37  38
1 0 -1  20.50  48
1 0 1  20.63  39
0 1 2  22.47  26
1 1 -1  25.00  49
1 1 1  25.10  50
0 2 0  28.52  100
1 1 -3  35.34  86
1 1 3  35.52  84
0 1 4  38.07  25